This entry pairs a crystal structure of Ag7Au5 with its simulated powder X-ray diffraction pattern. Radiation: a wavelength of 1.5418 Å. Structure: a crystal structure in Alexandria, relaxed with PBE.
Lines closer than 0.1° are merged.

Structure:
```
data_Ag7Au5
_chemical_formula_sum 'Ag7 Au5'
_symmetry_space_group_name_H-M 'P 1'
_symmetry_Int_Tables_number 1
_symmetry_space_group_name_Hall 'P 1'
_cell_length_a 2.915
_cell_length_b 8.754
_cell_length_c 8.439
_cell_angle_alpha 90.00
_cell_angle_beta 90.00
_cell_angle_gamma 90.00
loop_
_atom_site_label
_atom_site_fract_x
_atom_site_fract_y
_atom_site_fract_z
Ag1 0.000 0.000 0.000
Ag2 0.000 0.000 0.497
Ag3 0.000 0.334 0.499
Ag4 0.000 0.666 0.499
Ag5 0.500 0.164 0.748
Ag6 0.500 0.500 0.247
Ag7 0.500 0.836 0.748
Au1 0.000 0.331 0.997
Au2 0.000 0.669 0.997
Au3 0.500 0.169 0.250
Au4 0.500 0.500 0.747
Au5 0.500 0.831 0.250
```

The 10 most intense peaks (2θ from 15° to 90°), sorted by position:
| (hkl) | two_theta | d/Å | I_rel |
| --- | --- | --- | --- |
| 1 0 2 | 37.49 | 2.399 | 100.0 |
| 0 0 4 | 42.87 | 2.110 | 17.1 |
| 1 3 0 | 43.90 | 2.062 | 31.9 |
| 1 3 4 | 63.03 | 1.475 | 21.3 |
| 0 6 0 | 63.79 | 1.459 | 5.5 |
| 2 0 0 | 63.86 | 1.458 | 5.1 |
| 1 0 6 | 74.97 | 1.267 | 12.9 |
| 2 3 2 | 76.43 | 1.246 | 24.5 |
| 0 6 4 | 79.95 | 1.200 | 5.6 |
| 2 0 4 | 80.00 | 1.199 | 5.5 |